Entry 1:
Computed X-ray powder pattern
Compound: HfCdCl
Radiation: Cu Kα (λ = 1.5418 Å)
Structure: a cell relaxed with GGA-PBE
No peak broadening, texture or thermal motion is included.

Largest 10 diffraction maxima, in order of rising 2θ, 2θ from 10° to 90°:
(hkl)  Position (°2θ)  intensity
3 0 0  17.01  75
0 1 1  32.16  55
1 0 2  32.68  34
2 0 2  34.19  66
6 0 0  34.40  42
3 1 1  36.60  100
4 0 2  39.75  98
6 1 1  47.81  31
0 2 0  57.33  38
6 2 0  68.60  32

```
data_HfCdCl
_space_group_name_H-M_alt 'A m m 2'
_space_group_IT_number 38
_space_group_name_Hall 'A 2 -2'
_cell_length_a 15.641
_cell_length_b 3.213
_cell_length_c 5.568
_cell_angle_alpha 90.00
_cell_angle_beta 90.00
_cell_angle_gamma 90.00
loop_
_atom_site_label
_atom_site_fract_x
_atom_site_fract_y
_atom_site_fract_z
Hf1 0.163 0.000 0.000
Cd1 0.000 0.000 0.667
Cd2 0.500 0.000 0.702
Cl1 0.279 0.000 0.667
```



Entry 2:
Computed X-ray powder pattern
Compound: PmNdDy4Er2
Radiation: Cu Kα (λ = 1.5418 Å)
Structure: a cell relaxed with GGA-PBE
No peak broadening, texture or thermal motion is included.

Largest 10 diffraction maxima, in order of rising 2θ, 2θ from 10° to 90°:
(hkl)  Position (°2θ)  intensity
0 4 0  26.92  45
4 0 0  30.33  100
4 4 0  40.99  88
4 0 -4  53.89  20
4 4 -4  61.25  27
8 0 -4  63.12  8
4 8 0  64.54  23
8 4 -4  69.87  18
4 8 -4  81.02  12
8 8 -4  88.90  10

```
data_PmNdDy4Er2
_space_group_name_H-M_alt 'C 1 2/c 1'
_space_group_IT_number 15
_space_group_name_Hall '-C 2yc'
_cell_length_a 13.614
_cell_length_b 13.250
_cell_length_c 6.802
_cell_angle_alpha 90.00
_cell_angle_beta 119.97
_cell_angle_gamma 90.00
loop_
_atom_site_label
_atom_site_fract_x
_atom_site_fract_y
_atom_site_fract_z
Pm1 0.250 0.250 0.000
Nd1 0.000 0.000 0.000
Dy1 0.000 0.254 0.001
Dy2 0.246 0.497 0.495
Er1 0.000 0.500 0.000
Er2 0.250 0.250 0.500
```



Entry 3:
Computed X-ray powder pattern
Compound: KSeCl5
Radiation: Cu Kα (λ = 1.5418 Å)
Structure: a cell relaxed with GGA-PBE
No peak broadening, texture or thermal motion is included.

Largest 10 diffraction maxima, in order of rising 2θ, 2θ from 10° to 90°:
(hkl)  Position (°2θ)  intensity
1 1 0  13.39  55
0 2 0  16.02  100
0 1 1  17.53  59
1 0 1  18.95  96
2 0 0  21.56  51
0 0 2  31.45  48
0 4 0  32.36  45
3 0 1  36.31  58
4 0 0  43.92  26
0 6 0  49.42  31

```
data_KSeCl5
_space_group_name_H-M_alt 'I m m 2'
_space_group_IT_number 44
_space_group_name_Hall 'I 2 -2'
_cell_length_a 8.242
_cell_length_b 11.066
_cell_length_c 5.690
_cell_angle_alpha 90.00
_cell_angle_beta 90.00
_cell_angle_gamma 90.00
loop_
_atom_site_label
_atom_site_fract_x
_atom_site_fract_y
_atom_site_fract_z
K1 0.000 0.000 0.000
Se1 0.000 0.500 0.989
Cl1 0.000 0.287 0.053
Cl2 0.000 0.500 0.600
Cl3 0.206 0.000 0.505
```